(1)
Structure and theoretical X-ray powder pattern of Li3Zn3HgAu2 (a structure optimized by DFT (PBE); Cu Kα X-rays).

Lattice parameters (Å, degrees): 7.7083 7.7083 2.8404 90.00 90.00 120.00
Space group P-62m (No. 189)
Unique sites:
Li 0.0000 0.6900 0.0000
Zn 0.0000 0.3689 0.5000
Hg 0.0000 0.0000 0.5000
Au 0.3333 0.6667 0.0000

Largest 8 diffraction maxima, in order of falling intensity, 5° ≤ 2θ ≤ 70°:
h k l	d/Å	I_rel
1 1 0	3.854	1000
3 0 0	2.225	573
1 0 1	2.614	394
2 1 1	1.886	366
2 0 1	2.163	356
1 1 1	2.287	236
3 2 1	1.348	179
2 2 0	1.927	166

---

(2)
Structure and theoretical X-ray powder pattern of PrLuHgAu (a structure optimized by DFT (PBE); Cu Kα X-rays).

Lattice parameters (Å, degrees): 7.408 7.408 7.408 90.00 90.00 90.00
Space group F-43m (No. 216)
Unique sites:
Pr 0.000 0.000 0.000
Lu 0.000 0.000 0.500
Hg 0.250 0.250 0.250
Au 0.250 0.250 0.750

Largest 6 diffraction maxima, in order of falling intensity, 5° ≤ 2θ ≤ 70°:
h k l	d/Å	I_rel
2 2 0	2.619	1000
4 2 2	1.512	379
4 0 0	1.852	182
2 0 0	3.704	15
4 2 0	1.657	8
2 2 2	2.139	5

---

(3)
Structure and theoretical X-ray powder pattern of Mg8Hg3Au2 (a structure optimized by DFT (PBE); Cu Kα X-rays).

Lattice parameters (Å, degrees): 9.286 13.517 4.663 90.00 90.00 90.00
Space group Cmmm (No. 65)
Unique sites:
Mg 0.000 0.134 0.000
Mg 0.000 0.364 0.000
Mg 0.245 0.135 0.500
Hg 0.000 0.500 0.500
Hg 0.239 0.000 0.000
Au 0.000 0.249 0.500

Largest 8 diffraction maxima, in order of falling intensity, 5° ≤ 2θ ≤ 70°:
h k l	d/Å	I_rel
2 4 1	2.357	1000
0 2 1	3.833	875
2 0 1	3.290	522
0 4 0	3.379	286
0 0 2	2.332	247
4 0 0	2.322	237
2 4 3	1.351	178
4 0 2	1.645	165

---

(4)
Structure and theoretical X-ray powder pattern of Mg4HgAu (a structure optimized by DFT (PBE); Cu Kα X-rays).

Lattice parameters (Å, degrees): 4.566 8.708 6.165 90.00 90.00 90.00
Space group Pmc2_1 (No. 26)
Unique sites:
Mg 0.000 0.044 0.000
Mg 0.000 0.299 0.360
Mg 0.500 0.184 0.708
Mg 0.500 0.448 0.092
Hg 0.000 0.372 0.819
Au 0.500 0.129 0.262

Largest 8 diffraction maxima, in order of falling intensity, 5° ≤ 2θ ≤ 70°:
h k l	d/Å	I_rel
1 3 0	2.451	1000
0 2 1	3.556	982
1 1 1	3.381	829
1 1 0	4.044	636
2 2 1	1.920	601
1 3 1	2.276	417
0 0 2	3.083	359
2 0 0	2.283	308